# La2Ni5Pt5
Theoretical X-ray powder pattern, λ = 1.5418 Å (Cu Kα). Input: the GGA-PBE geometry in Alexandria.
No peak broadening, texture or thermal motion is included.

Peak list (6 most intense, 5 to 70 degrees two-theta, in order of falling intensity)
2θ/deg	I (rel.)	index
40.11	100	1 1 3
42.80	32	2 0 0
40.89	31	1 2 0
33.76	29	0 1 3
34.66	24	0 2 0
65.80	24	1 3 3

Crystal structure
abc: 4.226 5.176 9.277
angles: 90.00 90.00 90.00
Space group Pmmm (No. 47)
Symmetry-distinct sites (fractional):
La 0.000 0.000 0.000 x1
La 0.000 0.500 0.500 x1
Ni 0.500 0.000 0.500 x1
Ni 0.500 0.247 0.256 x4
Pt 0.000 0.000 0.334 x2
Pt 0.000 0.500 0.181 x2
Pt 0.500 0.500 0.000 x1

# LaYNiPt
Theoretical X-ray powder pattern, λ = 1.5418 Å (Cu Kα). Input: the GGA-PBE geometry in Alexandria.
No peak broadening, texture or thermal motion is included.

Peak list (6 most intense, 5 to 70 degrees two-theta, in order of falling intensity)
2θ/deg	I (rel.)	index
31.91	100	1 1 1
39.91	81	1 1 3
41.02	31	2 0 0
39.20	30	1 0 4
33.24	30	0 0 4
34.07	28	0 1 3

Crystal structure
abc: 4.401 3.865 10.780
angles: 90.00 90.00 90.00
Space group Amm2 (No. 38)
Symmetry-distinct sites (fractional):
La 0.000 0.000 0.000 x2
Y 0.500 0.000 0.275 x2
Ni 0.500 0.000 0.559 x2
Pt 0.000 0.000 0.720 x2

# LaZn4NiPt2
Theoretical X-ray powder pattern, λ = 1.5418 Å (Cu Kα). Input: the GGA-PBE geometry in Alexandria.
No peak broadening, texture or thermal motion is included.

Peak list (6 most intense, 5 to 70 degrees two-theta, in order of falling intensity)
2θ/deg	I (rel.)	index
42.14	100	1 1 0
36.68	72	0 1 8
27.64	40	1 0 4
29.52	35	0 1 5
45.38	31	0 1 11
10.18	21	0 0 3

Crystal structure
abc: 4.2892 4.2892 26.0765
angles: 90.00 90.00 120.00
Space group R-3m (No. 166, hexagonal axes)
Symmetry-distinct sites (fractional):
La 0.0000 0.0000 0.0000 x3
Zn 0.0000 0.0000 0.1339 x6
Zn 0.0000 0.0000 0.4058 x6
Ni 0.0000 0.0000 0.5000 x3
Pt 0.0000 0.0000 0.2347 x6

# LaNi2Rh2
Theoretical X-ray powder pattern, λ = 1.5418 Å (Cu Kα). Input: the GGA-PBE geometry in Alexandria.
No peak broadening, texture or thermal motion is included.

Peak list (6 most intense, 5 to 70 degrees two-theta, in order of falling intensity)
2θ/deg	I (rel.)	index
35.72	100	1 1 2
44.70	43	2 0 0
33.91	33	1 0 3
49.00	20	1 0 5
57.27	14	2 1 3
68.48	14	2 1 5

Crystal structure
abc: 4.054 4.054 10.460
angles: 90.00 90.00 90.00
Space group I4/mmm (No. 139)
Symmetry-distinct sites (fractional):
La 0.000 0.000 0.000 x2
Ni 0.000 0.000 0.391 x4
Rh 0.000 0.500 0.250 x4